Record 1
Sr6YTl3Cu6O21: calculated XRD peak list (Cu Kα (λ = 1.5418 Å)), based on a PBE-relaxed structure.
Lines closer than 0.1° are merged.

Most intense lines, 15° ≤ 2θ ≤ 90°, in order of falling intensity:
2θ 32.20, d = 2.780 Å, I 100; 2θ 28.01, d = 3.185 Å, I 86; 2θ 34.49, d = 2.601 Å, I 76; 2θ 35.22, d = 2.548 Å, I 54; 2θ 49.57, d = 1.839 Å, I 44; 2θ 50.12, d = 1.820 Å, I 42; 2θ 60.35, d = 1.534 Å, I 34; 2θ 57.90, d = 1.593 Å, I 28; 2θ 62.26, d = 1.491 Å, I 24; 2θ 84.72, d = 1.144 Å, I 21; 2θ 56.40, d = 1.631 Å, I 18; 2θ 24.20, d = 3.678 Å, I 14

```
data_Sr6YTl3Cu6O21
_cell_length_a 3.6783
_cell_length_b 11.0325
_cell_length_c 12.7408
_cell_angle_alpha 90.00
_cell_angle_beta 90.00
_cell_angle_gamma 90.00
_space_group_name_H-M_alt 'P m m m'
_space_group_IT_number 47
loop_
_space_group_symop_operation_xyz
'x,y,z'
'-x,-y,-z'
'-x,-y,z'
'x,y,-z'
'x,-y,-z'
'-x,y,z'
'-x,y,-z'
'x,-y,z'
loop_
_atom_site_label
_atom_site_fract_x
_atom_site_fract_y
_atom_site_fract_z
Sr1 0.0000 0.0000 0.2060
Sr2 0.0000 0.3340 0.2070
Y1 0.0000 0.0000 0.5000
Tl1 0.5000 0.1681 0.0000
Tl2 0.5000 0.5000 0.0000
Cu1 0.5000 0.1802 0.3782
Cu2 0.5000 0.5000 0.3893
O1 0.0000 0.0000 0.0000
O2 0.0000 0.1553 0.3715
O3 0.0000 0.3272 0.0000
O4 0.0000 0.5000 0.3623
O5 0.5000 0.0000 0.3878
O6 0.5000 0.1641 0.1665
O7 0.5000 0.3402 0.3470
O8 0.5000 0.5000 0.1610
```

Record 2
Sr2YTlCu2O7: calculated XRD peak list (Cu Kα (λ = 1.5418 Å)), based on a PBE-relaxed structure.
Lines closer than 0.1° are merged.

Most intense lines, 15° ≤ 2θ ≤ 90°, in order of falling intensity:
2θ 32.07, d = 2.791 Å, I 100; 2θ 32.98, d = 2.716 Å, I 66; 2θ 27.45, d = 3.250 Å, I 26; 2θ 24.30, d = 3.663 Å, I 21; 2θ 58.38, d = 1.581 Å, I 18; 2θ 47.43, d = 1.917 Å, I 18; 2θ 58.27, d = 1.583 Å, I 17; 2θ 47.25, d = 1.924 Å, I 16; 2θ 44.69, d = 2.028 Å, I 16; 2θ 56.57, d = 1.627 Å, I 16; 2θ 36.86, d = 2.438 Å, I 13; 2θ 50.29, d = 1.814 Å, I 12

```
data_Sr2YTlCu2O7
_cell_length_a 3.8338
_cell_length_b 12.1918
_cell_length_c 3.8474
_cell_angle_alpha 90.00
_cell_angle_beta 90.00
_cell_angle_gamma 90.00
_space_group_name_H-M_alt 'P m m 2'
_space_group_IT_number 25
loop_
_space_group_symop_operation_xyz
'x,y,z'
'-x,-y,z'
'-x,y,z'
'x,-y,z'
loop_
_atom_site_label
_atom_site_fract_x
_atom_site_fract_y
_atom_site_fract_z
Sr1 0.0000 0.2071 0.0000
Y1 0.0000 0.5000 0.9858
Tl1 0.5000 0.0000 0.5527
Cu1 0.5000 0.3613 0.4881
O1 0.0000 0.0000 0.9258
O2 0.0000 0.3805 0.4867
O3 0.5000 0.1741 0.4860
O4 0.5000 0.3799 0.9870
```

Record 3
Sr2Y2Cu2O7: calculated XRD peak list (Cu Kα (λ = 1.5418 Å)), based on a PBE-relaxed structure.
Lines closer than 0.1° are merged.

Most intense lines, 15° ≤ 2θ ≤ 90°, in order of falling intensity:
2θ 31.82, d = 2.812 Å, I 100; 2θ 37.29, d = 2.412 Å, I 43; 2θ 47.39, d = 1.918 Å, I 42; 2θ 33.10, d = 2.706 Å, I 40; 2θ 32.93, d = 2.720 Å, I 39; 2θ 58.32, d = 1.582 Å, I 18; 2θ 58.11, d = 1.588 Å, I 17; 2θ 27.33, d = 3.263 Å, I 15; 2θ 36.22, d = 2.480 Å, I 14; 2θ 61.89, d = 1.499 Å, I 10; 2θ 61.69, d = 1.504 Å, I 9; 2θ 61.06, d = 1.518 Å, I 8

```
data_Sr2Y2Cu2O7
_cell_length_a 24.8035
_cell_length_b 5.4397
_cell_length_c 5.4129
_cell_angle_alpha 90.00
_cell_angle_beta 90.00
_cell_angle_gamma 90.00
_space_group_name_H-M_alt 'I m a 2'
_space_group_IT_number 46
loop_
_space_group_symop_operation_xyz
'x,y,z'
'-x,-y,z'
'-x+1/2,y,z'
'x+1/2,-y,z'
'x+1/2,y+1/2,z+1/2'
'-x+1/2,-y+1/2,z+1/2'
'-x,y+1/2,z+1/2'
'x,-y+1/2,z+1/2'
loop_
_atom_site_label
_atom_site_fract_x
_atom_site_fract_y
_atom_site_fract_z
Sr1 0.1418 0.0108 0.0000
Y1 0.0000 0.0000 0.9975
Y2 0.2500 0.5372 0.9684
Cu1 0.0674 0.0002 0.5006
O1 0.0574 0.2445 0.2455
O2 0.0614 0.7460 0.2545
O3 0.1656 0.0363 0.5382
O4 0.2500 0.5649 0.5564
```

Record 4
Sr9Zn3Cu2O14: calculated XRD peak list (Cu Kα (λ = 1.5418 Å)), based on a PBE-relaxed structure.
Lines closer than 0.1° are merged.

Most intense lines, 15° ≤ 2θ ≤ 90°, in order of falling intensity:
2θ 33.94, d = 2.641 Å, I 100; 2θ 31.54, d = 2.836 Å, I 73; 2θ 30.50, d = 2.931 Å, I 44; 2θ 31.17, d = 2.870 Å, I 33; 2θ 40.32, d = 2.237 Å, I 22; 2θ 49.72, d = 1.834 Å, I 21; 2θ 47.77, d = 1.904 Å, I 18; 2θ 53.27, d = 1.720 Å, I 16; 2θ 57.98, d = 1.591 Å, I 14; 2θ 59.46, d = 1.554 Å, I 14; 2θ 23.86, d = 3.730 Å, I 12; 2θ 58.78, d = 1.571 Å, I 11

```
data_Sr9Zn3Cu2O14
_cell_length_a 3.6673
_cell_length_b 11.4248
_cell_length_c 11.4545
_cell_angle_alpha 98.36
_cell_angle_beta 99.16
_cell_angle_gamma 90.00
_space_group_name_H-M_alt 'P 1'
_space_group_IT_number 1
loop_
_space_group_symop_operation_xyz
'x,y,z'
loop_
_atom_site_label
_atom_site_fract_x
_atom_site_fract_y
_atom_site_fract_z
Sr1 0.0000 0.0000 0.0000
Sr2 0.0024 0.3190 0.0049
Sr3 0.0080 0.6752 0.0183
Sr4 0.6126 0.5257 0.2369
Sr5 0.6245 0.8891 0.2582
Sr6 0.6393 0.1838 0.2742
Sr7 0.7951 0.2751 0.5961
Sr8 0.8051 0.5973 0.6276
Sr9 0.8231 0.9104 0.6472
Zn1 0.1971 0.3979 0.4026
Zn2 0.4157 0.1390 0.8310
Zn3 0.4225 0.8029 0.8490
Cu1 0.1981 0.7231 0.4140
Cu2 0.4159 0.4759 0.8393
O1 0.1040 0.0269 0.2141
O2 0.1043 0.3748 0.2206
O3 0.1155 0.6985 0.2489
O4 0.2203 0.2406 0.4478
O5 0.2798 0.7470 0.5736
O6 0.3319 0.4529 0.6800
O7 0.3964 0.9626 0.7975
O8 0.4990 0.5007 0.0043
O9 0.5077 0.1696 0.0158
O10 0.5138 0.8279 0.0316
O11 0.7146 0.4644 0.4386
O12 0.7398 0.0087 0.4661
O13 0.8931 0.1924 0.7863
O14 0.9049 0.7391 0.8137
```

Record 5
Sr9Zn2Cu2O14: calculated XRD peak list (Cu Kα (λ = 1.5418 Å)), based on a PBE-relaxed structure.
Lines closer than 0.1° are merged.

Most intense lines, 15° ≤ 2θ ≤ 90°, in order of falling intensity:
2θ 34.09, d = 2.630 Å, I 100; 2θ 31.73, d = 2.820 Å, I 69; 2θ 30.74, d = 2.908 Å, I 42; 2θ 31.37, d = 2.851 Å, I 31; 2θ 49.90, d = 1.828 Å, I 22; 2θ 40.72, d = 2.216 Å, I 20; 2θ 24.11, d = 3.691 Å, I 18; 2θ 48.05, d = 1.894 Å, I 17; 2θ 41.89, d = 2.156 Å, I 15; 2θ 58.34, d = 1.582 Å, I 14; 2θ 54.53, d = 1.683 Å, I 14; 2θ 53.72, d = 1.706 Å, I 13

```
data_Sr9Zn2Cu2O14
_cell_length_a 22.4095
_cell_length_b 3.6554
_cell_length_c 11.3641
_cell_angle_alpha 90.00
_cell_angle_beta 98.59
_cell_angle_gamma 90.00
_space_group_name_H-M_alt 'C 1 m 1'
_space_group_IT_number 8
loop_
_space_group_symop_operation_xyz
'x,y,z'
'x,-y,z'
'x+1/2,y+1/2,z'
'x+1/2,-y+1/2,z'
loop_
_atom_site_label
_atom_site_fract_x
_atom_site_fract_y
_atom_site_fract_z
Sr1 0.0000 0.0000 0.0000
Sr2 0.0011 0.0000 0.3634
Sr3 0.1142 0.5000 0.2098
Sr4 0.1270 0.5000 0.5703
Sr5 0.1293 0.5000 0.8654
Sr6 0.2935 0.5000 0.9569
Sr7 0.3126 0.5000 0.2828
Sr8 0.3268 0.5000 0.5881
Sr9 0.4874 0.5000 0.6578
Zn1 0.1984 0.0000 0.0803
Zn2 0.4136 0.0000 0.8267
Cu1 0.2032 0.0000 0.4040
Cu2 0.4164 0.0000 0.1570
O1 0.0052 0.5000 0.8558
O2 0.0184 0.5000 0.5110
O3 0.1034 0.0000 0.7079
O4 0.1078 0.0000 0.0579
O5 0.1215 0.0000 0.3804
O6 0.2167 0.5000 0.1471
O7 0.2199 0.0000 0.9215
O8 0.2315 0.5000 0.6942
O9 0.2836 0.0000 0.4272
O10 0.3361 0.0000 0.1351
O11 0.3913 0.5000 0.8829
O12 0.3974 0.0000 0.6550
O13 0.4050 0.5000 0.4363
O14 0.4981 0.0000 0.1838
```

Record 6
Ta2CuO6: calculated XRD peak list (Cu Kα (λ = 1.5418 Å)), based on a PBE-relaxed structure.
Lines closer than 0.1° are merged.

Most intense lines, 15° ≤ 2θ ≤ 90°, in order of falling intensity:
2θ 33.43, d = 2.681 Å, I 100; 2θ 23.55, d = 3.778 Å, I 71; 2θ 33.54, d = 2.672 Å, I 48; 2θ 59.90, d = 1.544 Å, I 45; 2θ 23.39, d = 3.804 Å, I 36; 2θ 59.68, d = 1.549 Å, I 23; 2θ 41.30, d = 2.186 Å, I 20; 2θ 53.97, d = 1.699 Å, I 16; 2θ 54.30, d = 1.689 Å, I 16; 2θ 54.20, d = 1.692 Å, I 15; 2θ 47.82, d = 1.902 Å, I 12; 2θ 48.24, d = 1.887 Å, I 12

```
data_Ta2CuO6
_cell_length_a 7.5465
_cell_length_b 7.5659
_cell_length_c 7.6078
_cell_angle_alpha 90.00
_cell_angle_beta 90.00
_cell_angle_gamma 90.00
_space_group_name_H-M_alt 'P m m m'
_space_group_IT_number 47
loop_
_space_group_symop_operation_xyz
'x,y,z'
'-x,-y,-z'
'-x,-y,z'
'x,y,-z'
'x,-y,-z'
'-x,y,z'
'-x,y,-z'
'x,-y,z'
loop_
_atom_site_label
_atom_site_fract_x
_atom_site_fract_y
_atom_site_fract_z
Ta1 0.2480 0.2441 0.2496
Cu1 0.0000 0.5000 0.0000
Cu2 0.0000 0.5000 0.5000
Cu3 0.5000 0.0000 0.0000
Cu4 0.5000 0.5000 0.5000
O1 0.0000 0.1979 0.2039
O2 0.1851 0.3123 0.5000
O3 0.1913 0.5000 0.1794
O4 0.2976 0.0000 0.3065
O5 0.3199 0.1921 0.0000
O6 0.5000 0.3198 0.3119
```